DySc2WO8: calculated PXRD pattern (copper Kα), based on DFT lattice parameters and positions (PBE+U).
Neutral-atom scattering factors, no anomalous dispersion.

The 8 most intense peaks (10° ≤ 2θ ≤ 90°), low angle first:
hkl, 2theta, I/Imax
1 1 0, 18.2, 87
0 2 0, 25.8, 63
2 0 0, 26.0, 61
1 1 2, 32.8, 100
2 2 0, 37.0, 26
0 2 2, 37.7, 30
1 3 2, 50.2, 42
3 1 2, 50.4, 42

Atomic structure:
Cell: 6.8563 6.8982 6.5927 Å, 90.00 90.00 90.00°
Space group Cmmm (No. 65)
Asymmetric unit:
Dy1 0.0000 0.0000 0.0000
Sc1 0.0000 0.5000 0.2505
W1 0.0000 0.0000 0.5000
O1 0.0000 0.1928 0.2847
O2 0.1811 0.5000 0.0000
O3 0.2128 0.5000 0.5000